(1)
Structure and theoretical powder XRD pattern of Cu3SbSe3 (DFT lattice parameters and positions (PBE); copper Kα).
Neutral-atom scattering factors, no anomalous dispersion.

```
data_Cu3SbSe3
_chemical_formula_sum 'Cu12 Sb4 Se12'
_cell_length_a 8.0467
_cell_length_b 10.5843
_cell_length_c 6.9162
_cell_angle_alpha 90.00
_cell_angle_beta 90.00
_cell_angle_gamma 90.00
_space_group_name_H-M_alt 'P n m a'
_space_group_IT_number 62
_space_group_name_Hall '-P 2ac 2n'
loop_
_atom_site_label
_atom_site_fract_x
_atom_site_fract_y
_atom_site_fract_z
Cu1 0.0995 0.0461 0.2465
Cu2 0.1918 0.2500 0.0661
Sb1 0.2446 0.2500 0.6091
Se1 0.0017 0.7500 0.6410
Se2 0.1560 0.0625 0.8488
```

The 10 most intense peaks (15° ≤ 2θ ≤ 90°), in order of falling intensity:
| Position (°2θ) | I (rel.) | (hkl) |
| --- | --- | --- |
| 32.9 | 100.0 | 1 2 2 |
| 33.8 | 62.9 | 0 4 0 |
| 27.0 | 58.1 | 2 1 1 |
| 50.2 | 48.9 | 3 3 2 |
| 48.6 | 45.8 | 2 5 0 |
| 30.9 | 39.9 | 0 2 2 |
| 23.7 | 39.6 | 2 1 0 |
| 48.4 | 37.2 | 4 2 0 |
| 43.0 | 26.2 | 2 3 2 |
| 51.8 | 24.2 | 0 6 0 |

=====

(2)
Structure and theoretical powder XRD pattern of SmCuSb2 (DFT lattice parameters and positions (PBE); copper Kα).
Neutral-atom scattering factors, no anomalous dispersion.

```
data_SmCuSb2
_chemical_formula_sum 'Sm2 Cu2 Sb4'
_cell_length_a 4.3371
_cell_length_b 4.3371
_cell_length_c 10.0248
_cell_angle_alpha 90.00
_cell_angle_beta 90.00
_cell_angle_gamma 90.00
_space_group_name_H-M_alt 'P 4/n m m'
_space_group_IT_number 129
loop_
_space_group_symop_operation_xyz
'x,y,z'
'-x,-y,-z'
'-y+1/2,x,z'
'y+1/2,-x,-z'
'-x+1/2,-y+1/2,z'
'x+1/2,y+1/2,-z'
'y,-x+1/2,z'
'-y,x+1/2,-z'
'x+1/2,-y,-z'
'-x+1/2,y,z'
'-y,-x,-z'
'y,x,z'
'-x,y+1/2,-z'
'x,-y+1/2,z'
'y+1/2,x+1/2,-z'
'-y+1/2,-x+1/2,z'
loop_
_atom_site_label
_atom_site_fract_x
_atom_site_fract_y
_atom_site_fract_z
Sm1 0.2500 0.2500 0.2494
Cu1 0.2500 0.7500 0.5000
Sb1 0.2500 0.2500 0.6563
Sb2 0.2500 0.7500 0.0000
```

The 10 most intense peaks (15° ≤ 2θ ≤ 90°), in order of falling intensity:
| Position (°2θ) | I (rel.) | (hkl) |
| --- | --- | --- |
| 34.3 | 100.0 | 1 1 2 |
| 41.6 | 44.3 | 2 0 0 |
| 71.3 | 24.5 | 3 1 2 |
| 50.1 | 22.8 | 1 0 5 |
| 33.9 | 20.7 | 1 0 3 |
| 67.2 | 16.2 | 2 1 5 |
| 27.2 | 15.7 | 1 0 2 |
| 60.4 | 15.5 | 2 2 0 |
| 30.5 | 12.7 | 1 1 1 |
| 54.7 | 11.5 | 2 1 3 |

=====

(3)
Structure and theoretical powder XRD pattern of Tb3Cu3Sb4 (DFT lattice parameters and positions (PBE); copper Kα).
Neutral-atom scattering factors, no anomalous dispersion.

```
data_Tb3Cu3Sb4
_chemical_formula_sum 'Tb12 Cu12 Sb16'
_cell_length_a 9.6096
_cell_length_b 9.6096
_cell_length_c 9.6096
_cell_angle_alpha 90.00
_cell_angle_beta 90.00
_cell_angle_gamma 90.00
_space_group_name_H-M_alt 'I -4 3 d'
_space_group_IT_number 220
_space_group_name_Hall 'I -4bd 2c 3'
loop_
_atom_site_label
_atom_site_fract_x
_atom_site_fract_y
_atom_site_fract_z
Tb1 0.0000 0.2500 0.8750
Cu1 0.0000 0.2500 0.3750
Sb1 0.0800 0.4200 0.5800
```

The 10 most intense peaks (15° ≤ 2θ ≤ 90°), in order of falling intensity:
| Position (°2θ) | I (rel.) | (hkl) |
| --- | --- | --- |
| 34.9 | 100.0 | 3 2 1 |
| 29.4 | 54.1 | 3 1 0 |
| 42.0 | 35.8 | 4 2 0 |
| 59.3 | 18.3 | 6 1 1 |
| 46.3 | 16.4 | 4 2 2 |
| 72.2 | 14.4 | 5 5 2 |
| 61.0 | 13.2 | 6 2 0 |
| 44.2 | 11.4 | 3 3 2 |
| 48.3 | 10.2 | 4 3 1 |
| 62.7 | 9.3 | 5 4 1 |

=====

(4)
Structure and theoretical powder XRD pattern of Zr2Cu3Sb3 (DFT lattice parameters and positions (PBE); copper Kα).
Neutral-atom scattering factors, no anomalous dispersion.

```
data_Zr2Cu3Sb3
_chemical_formula_sum 'Zr2 Cu3 Sb3'
_cell_length_a 4.2697
_cell_length_b 4.2697
_cell_length_c 8.5788
_cell_angle_alpha 90.00
_cell_angle_beta 90.00
_cell_angle_gamma 90.00
_space_group_name_H-M_alt 'P 4 m m'
_space_group_IT_number 99
_space_group_name_Hall 'P 4 -2'
loop_
_atom_site_label
_atom_site_fract_x
_atom_site_fract_y
_atom_site_fract_z
Zr1 0.0000 0.0000 0.0000
Zr2 0.5000 0.5000 0.4703
Cu1 0.0000 0.5000 0.2095
Cu2 0.5000 0.5000 0.0613
Sb1 0.0000 0.0000 0.3914
Sb2 0.0000 0.5000 0.7474
```

The 10 most intense peaks (15° ≤ 2θ ≤ 90°), in order of falling intensity:
| Position (°2θ) | I (rel.) | (hkl) |
| --- | --- | --- |
| 36.4 | 100.0 | 1 1 2 |
| 42.3 | 45.0 | 2 0 0 |
| 73.5 | 23.8 | 3 1 2 |
| 31.4 | 19.8 | 1 1 1 |
| 61.4 | 14.3 | 2 2 0 |
| 31.3 | 11.9 | 0 0 3 |
| 53.6 | 10.3 | 2 0 3 |
| 37.9 | 8.6 | 1 0 3 |
| 61.3 | 8.4 | 2 0 4 |
| 70.6 | 8.3 | 2 2 3 |

=====

(5)
Structure and theoretical powder XRD pattern of ScCu2 (DFT lattice parameters and positions (PBE); copper Kα).
Neutral-atom scattering factors, no anomalous dispersion.

```
data_ScCu2
_chemical_formula_sum 'Sc2 Cu4'
_cell_length_a 3.3026
_cell_length_b 3.3026
_cell_length_c 8.3788
_cell_angle_alpha 90.00
_cell_angle_beta 90.00
_cell_angle_gamma 90.00
_space_group_name_H-M_alt 'I 4/m m m'
_space_group_IT_number 139
_space_group_name_Hall '-I 4 2'
loop_
_atom_site_label
_atom_site_fract_x
_atom_site_fract_y
_atom_site_fract_z
Sc1 0.0000 0.0000 0.0000
Cu1 0.0000 0.0000 0.3278
```

The 10 most intense peaks (15° ≤ 2θ ≤ 90°), in order of falling intensity:
| Position (°2θ) | I (rel.) | (hkl) |
| --- | --- | --- |
| 42.4 | 100.0 | 1 0 3 |
| 38.6 | 66.9 | 1 1 0 |
| 72.4 | 35.7 | 2 1 3 |
| 55.7 | 21.2 | 2 0 0 |
| 80.1 | 12.9 | 1 1 6 |
| 82.6 | 6.1 | 2 2 0 |
| 67.0 | 5.6 | 0 0 6 |
| 21.2 | 4.6 | 0 0 2 |
| 29.1 | 3.4 | 1 0 1 |
| 44.4 | 3.0 | 1 1 2 |

=====

(6)
Structure and theoretical powder XRD pattern of ScCuSe2 (DFT lattice parameters and positions (PBE); copper Kα).
Neutral-atom scattering factors, no anomalous dispersion.

```
data_ScCuSe2
_chemical_formula_sum 'Sc4 Cu4 Se8'
_cell_length_a 14.3331
_cell_length_b 3.9153
_cell_length_c 6.7226
_cell_angle_alpha 90.00
_cell_angle_beta 117.50
_cell_angle_gamma 90.00
_space_group_name_H-M_alt 'C 1 2/m 1'
_space_group_IT_number 12
_space_group_name_Hall '-C 2y'
loop_
_atom_site_label
_atom_site_fract_x
_atom_site_fract_y
_atom_site_fract_z
Sc1 0.2429 0.0000 0.2327
Cu1 0.0602 0.5000 0.8931
Se1 0.1274 0.0000 0.7862
Se2 0.1318 0.5000 0.3048
```

The 10 most intense peaks (15° ≤ 2θ ≤ 90°), in order of falling intensity:
| Position (°2θ) | I (rel.) | (hkl) |
| --- | --- | --- |
| 30.0 | 100.0 | 0 0 2 |
| 46.7 | 53.0 | 3 1 -3 |
| 39.0 | 48.6 | 5 1 -1 |
| 50.7 | 32.0 | 5 1 1 |
| 46.4 | 27.5 | 0 2 0 |
| 38.8 | 25.8 | 2 0 2 |
| 28.1 | 18.1 | 4 0 0 |
| 26.3 | 17.2 | 1 1 -1 |
| 23.8 | 17.0 | 1 1 0 |
| 50.9 | 13.3 | 7 1 -1 |